# 1
Starting from a DFT-relaxed cell (PBE, Alexandria), the powder diffractogram of Rb2AgSnBr6 was computed for Cu Kα X-rays.
Intensities are scaled so that the largest is 100.

The 8 most intense peaks (2θ = 15–90°), by angle:
2θ = 15.8°, I 52
2θ = 22.5°, I 53
2θ = 27.6°, I 69
2θ = 31.8°, I 51
2θ = 32.0°, I 100
2θ = 45.8°, I 72
2θ = 45.9°, I 36
2θ = 57.0°, I 37

```
Rb2AgSnBr6
1.0
-3.9532 3.9532 5.6202
3.9532 -3.9532 5.6202
3.9532 3.9532 -5.6202
Rb Ag Sn Br
2 1 1 6
direct
0.2500 0.7500 0.5000
0.7500 0.2500 0.5000
0.0000 0.0000 0.0000
0.5000 0.5000 0.0000
0.2495 0.2495 0.4991
0.2495 0.7505 0.0000
0.2505 0.2505 0.0000
0.7495 0.7495 0.0000
0.7505 0.2495 0.0000
0.7505 0.7505 0.5009
```

---

# 2
Starting from a DFT-relaxed cell (PBE, Alexandria), the powder diffractogram of Dy3Tl2Ag was computed for Cu Kα X-rays.
Intensities are scaled so that the largest is 100.

The 8 most intense peaks (2θ = 15–90°), by angle:
2θ = 33.8°, I 100
2θ = 48.6°, I 18
2θ = 60.4°, I 9
2θ = 60.6°, I 28
2θ = 71.1°, I 6
2θ = 71.3°, I 6
2θ = 81.1°, I 8
2θ = 81.2°, I 8

```
Dy3Tl2Ag
1.0
5.2930 0.0000 0.0000
-2.6465 4.5839 0.0000
0.0000 0.0000 13.0148
Dy Tl Ag
6 4 2
direct
0.0000 0.0000 0.2454
0.0000 0.0000 0.7546
0.3333 0.6667 0.4119
0.3333 0.6667 0.9178
0.6667 0.3333 0.0822
0.6667 0.3333 0.5881
0.0000 0.0000 0.0000
0.0000 0.0000 0.5000
0.3333 0.6667 0.6726
0.6667 0.3333 0.3274
0.3333 0.6667 0.1681
0.6667 0.3333 0.8319
```

---

# 3
Starting from a DFT-relaxed cell (PBE, Alexandria), the powder diffractogram of ZrCdHg4 was computed for Cu Kα X-rays.
Intensities are scaled so that the largest is 100.

The 8 most intense peaks (2θ = 15–90°), by angle:
2θ = 33.7°, I 100
2θ = 36.4°, I 81
2θ = 36.6°, I 80
2θ = 48.3°, I 36
2θ = 61.9°, I 17
2θ = 62.0°, I 17
2θ = 62.2°, I 35
2θ = 80.7°, I 17

```
ZrCdHg4
1.0
5.3273 0.0000 0.0000
0.0000 5.3237 0.0000
-0.0595 0.0000 9.7634
Zr Cd Hg
2 2 8
direct
0.0000 0.0000 0.0000
0.5000 0.5000 0.0000
0.0000 0.5000 0.5000
0.5000 0.0000 0.5000
0.0022 0.0000 0.3303
0.0019 0.5000 0.1626
0.4981 0.0000 0.8374
0.4978 0.5000 0.6697
0.5019 0.0000 0.1626
0.5022 0.5000 0.3303
0.9978 0.0000 0.6697
0.9981 0.5000 0.8374
```

---

# 4
Starting from a DFT-relaxed cell (PBE, Alexandria), the powder diffractogram of Pt2RhW was computed for Cu Kα X-rays.
Intensities are scaled so that the largest is 100.

The 8 most intense peaks (2θ = 15–90°), by angle:
2θ = 37.5°, I 28
2θ = 39.9°, I 42
2θ = 42.2°, I 58
2θ = 42.7°, I 100
2θ = 55.9°, I 18
2θ = 66.9°, I 18
2θ = 74.4°, I 20
2θ = 80.8°, I 22

```
Pt2RhW
1.0
4.5187 0.0000 0.0000
0.0000 5.5154 0.0000
0.0000 0.0000 4.8689
Pt Rh W
4 2 2
direct
0.2500 0.0008 0.1645
0.2500 0.4992 0.1645
0.7500 0.5008 0.8355
0.7500 0.9992 0.8355
0.2500 0.2500 0.6507
0.7500 0.7500 0.3493
0.2500 0.7500 0.6581
0.7500 0.2500 0.3419
```